Record 1
Structure and simulated powder X-ray diffraction pattern of MgV4O6F6 (a structure optimized by DFT (GGA+U); Cu Kα (weighted mean of Kα1 and Kα2)).

Structural model:
```
data_MgV4O6F6
_chemical_formula_sum 'Mg1 V4 O6 F6'
_cell_length_a 5.057
_cell_length_b 5.257
_cell_length_c 9.422
_cell_angle_alpha 75.79
_cell_angle_beta 74.79
_cell_angle_gamma 62.16
_symmetry_space_group_name_H-M 'P 1'
_symmetry_Int_Tables_number 1
loop_
_symmetry_equiv_pos_as_xyz
'x,y,z'
loop_
_atom_site_label
_atom_site_type_symbol
_atom_site_fract_x
_atom_site_fract_y
_atom_site_fract_z
_atom_site_occupancy
Mg1 Mg 0.000 0.000 0.000 1
V1 V 0.068 0.163 0.553 1
V2 V 0.365 0.434 0.804 1
V3 V 0.654 0.632 0.049 1
V4 V 0.816 0.892 0.328 1
O1 O 0.016 0.390 0.933 1
O2 O 0.387 0.656 0.935 1
O3 O 0.483 0.942 0.436 1
O4 O 0.704 0.380 0.682 1
O5 O 0.822 0.710 0.167 1
O6 O 0.911 0.103 0.434 1
F1 F 0.080 0.527 0.432 1
F2 F 0.106 0.798 0.694 1
F3 F 0.225 0.879 0.175 1
F4 F 0.302 0.193 0.682 1
F5 F 0.639 0.032 0.927 1
F6 F 0.667 0.256 0.170 1
```

Peak list (12 most intense, 10 to 90 degrees two-theta, by intensity)
| 2θ (°) | I_rel | h k l |
| --- | --- | --- |
| 24.28 | 100 | 1 1 2 |
| 22.95 | 98 | 0 1 -1 |
| 23.98 | 90 | 1 0 -1 |
| 33.14 | 37 | 1 1 -2 |
| 46.89 | 29 | 0 2 -2 |
| 33.23 | 24 | 0 1 3 |
| 49.09 | 20 | 2 0 -2 |
| 49.74 | 20 | 2 2 4 |
| 39.34 | 16 | 1 2 -1 |
| 54.73 | 16 | 2 1 5 |
| 33.69 | 15 | 1 -1 0 |
| 54.37 | 15 | 1 2 5 |

=====

Record 2
Structure and simulated powder X-ray diffraction pattern of SrCaMnGaO5 (a structure optimized by DFT (GGA+U); Cu Kα (weighted mean of Kα1 and Kα2)).

Structural model:
```
data_SrCaMnGaO5
_chemical_formula_sum 'Sr2 Ca2 Mn2 Ga2 O10'
_cell_length_a 5.456
_cell_length_b 5.673
_cell_length_c 8.665
_cell_angle_alpha 108.69
_cell_angle_beta 108.32
_cell_angle_gamma 90.02
_symmetry_space_group_name_H-M 'P 1'
_symmetry_Int_Tables_number 1
loop_
_symmetry_equiv_pos_as_xyz
'x,y,z'
loop_
_atom_site_label
_atom_site_type_symbol
_atom_site_fract_x
_atom_site_fract_y
_atom_site_fract_z
_atom_site_occupancy
Sr1 Sr 0.000 0.000 0.000 1
Sr2 Sr 0.229 0.185 0.458 1
Ca1 Ca 0.518 0.460 0.016 1
Ca2 Ca 0.731 0.726 0.442 1
Mn1 Mn 0.110 0.592 0.229 1
Mn2 Mn 0.610 0.093 0.229 1
Ga1 Ga 0.399 0.772 0.728 1
Ga2 Ga 0.899 0.413 0.729 1
O1 O 0.205 0.785 0.515 1
O2 O 0.255 0.482 0.749 1
O3 O 0.353 0.822 0.210 1
O4 O 0.378 0.355 0.248 1
O5 O 0.449 0.023 0.937 1
O6 O 0.735 0.704 0.708 1
O7 O 0.741 0.163 0.521 1
O8 O 0.844 0.836 0.208 1
O9 O 0.870 0.357 0.249 1
O10 O 0.918 0.401 0.942 1
```

Peak list (12 most intense, 10 to 90 degrees two-theta, by intensity)
| 2θ (°) | I_rel | h k l |
| --- | --- | --- |
| 32.37 | 100 | 1 1 1 |
| 32.54 | 99 | 1 -1 2 |
| 32.83 | 83 | 2 0 -1 |
| 46.17 | 60 | 2 2 -2 |
| 31.54 | 57 | 0 2 -1 |
| 46.94 | 32 | 0 0 4 |
| 58.35 | 30 | 3 -1 1 |
| 58.46 | 28 | 3 1 -4 |
| 23.39 | 20 | 0 1 -2 |
| 56.90 | 19 | 1 3 -4 |
| 16.68 | 16 | 0 1 -1 |
| 36.13 | 15 | 1 -2 0 |

=====

Record 3
Structure and simulated powder X-ray diffraction pattern of Mn6O5F7 (a structure optimized by DFT (GGA+U); Cu Kα (weighted mean of Kα1 and Kα2)).

Structural model:
```
data_Mn6O5F7
_chemical_formula_sum 'Mn6 O5 F7'
_cell_length_a 4.732
_cell_length_b 9.493
_cell_length_c 4.772
_cell_angle_alpha 90.00
_cell_angle_beta 94.49
_cell_angle_gamma 90.00
_symmetry_space_group_name_H-M 'P 1 m 1'
_symmetry_Int_Tables_number 6
loop_
_symmetry_equiv_pos_as_xyz
'x,y,z'
'x,-y,z'
loop_
_atom_site_label
_atom_site_type_symbol
_atom_site_fract_x
_atom_site_fract_y
_atom_site_fract_z
_atom_site_occupancy
Mn1 Mn 0.000 0.000 0.000 1
Mn2 Mn 0.031 0.339 0.031 1
Mn3 Mn 0.500 0.158 0.498 1
Mn4 Mn 0.529 0.500 0.465 1
O1 O 0.300 0.000 0.302 1
O2 O 0.335 0.325 0.313 1
O3 O 0.697 0.000 0.699 1
O4 O 0.851 0.500 0.195 1
F1 F 0.198 0.174 0.825 1
F2 F 0.239 0.500 0.793 1
F3 F 0.726 0.326 0.711 1
F4 F 0.817 0.164 0.200 1
```

Peak list (12 most intense, 10 to 90 degrees two-theta, by intensity)
| 2θ (°) | I_rel | h k l |
| --- | --- | --- |
| 25.53 | 100 | 1 0 -1 |
| 34.07 | 96 | 1 3 0 |
| 27.65 | 84 | 1 0 1 |
| 50.63 | 32 | 1 3 -2 |
| 50.82 | 32 | 2 3 -1 |
| 53.23 | 24 | 2 3 1 |
| 53.04 | 24 | 1 3 2 |
| 66.38 | 20 | 3 3 0 |
| 65.89 | 19 | 0 3 3 |
| 38.40 | 19 | 1 3 -1 |
| 58.32 | 18 | 0 6 0 |
| 39.91 | 18 | 1 3 1 |

=====

Record 4
Structure and simulated powder X-ray diffraction pattern of Ti3MnSb2P6O24 (a structure optimized by DFT (GGA+U); Cu Kα (weighted mean of Kα1 and Kα2)).

Structural model:
```
data_Ti3MnSb2P6O24
_chemical_formula_sum 'Ti9 Mn3 Sb6 P18 O72'
_cell_length_a 8.7714
_cell_length_b 8.7714
_cell_length_c 21.9550
_cell_angle_alpha 90.00
_cell_angle_beta 90.00
_cell_angle_gamma 120.00
_symmetry_space_group_name_H-M 'R 3'
_symmetry_Int_Tables_number 146
_symmetry_space_group_name_Hall 'R 3'
loop_
_atom_site_label
_atom_site_type_symbol
_atom_site_fract_x
_atom_site_fract_y
_atom_site_fract_z
_atom_site_occupancy
Ti1 Ti 0.0000 0.0000 0.0000 1
Ti2 Ti 0.0000 0.0000 0.2033 1
Ti3 Ti 0.0000 0.0000 0.5025 1
Mn1 Mn 0.0000 0.0000 0.7015 1
Sb1 Sb 0.0000 0.0000 0.3498 1
Sb2 Sb 0.0000 0.0000 0.8477 1
P1 P 0.9998 0.2962 0.6035 1
P2 P 0.0038 0.7113 0.1036 1
O1 O 0.0028 0.8072 0.0451 1
O2 O 0.0044 0.1978 0.5456 1
O3 O 0.0089 0.8143 0.1611 1
O4 O 0.0106 0.1773 0.2686 1
O5 O 0.0212 0.8294 0.7759 1
O6 O 0.1277 0.4498 0.3294 1
O7 O 0.1657 0.4853 0.6002 1
O8 O 0.1713 0.6910 0.1014 1
```

Peak list (12 most intense, 10 to 90 degrees two-theta, by intensity)
| 2θ (°) | I_rel | h k l |
| --- | --- | --- |
| 31.85 | 100 | 2 -1 6 |
| 20.25 | 99 | 1 1 0 |
| 23.65 | 74 | 1 1 3 |
| 35.45 | 41 | 3 0 0 |
| 48.39 | 37 | 4 -2 6 |
| 24.81 | 32 | 2 0 2 |
| 45.73 | 29 | 3 -2 8 |
| 14.18 | 27 | 0 1 2 |
| 61.40 | 27 | 5 -4 6 |
| 55.43 | 25 | 4 1 0 |
| 32.23 | 21 | 1 2 2 |
| 43.46 | 17 | 3 0 6 |

=====

Record 5
Structure and simulated powder X-ray diffraction pattern of LiMnP2H2O8 (a structure optimized by DFT (GGA+U); Cu Kα (weighted mean of Kα1 and Kα2)).

Structural model:
```
data_LiMnP2H2O8
_chemical_formula_sum 'Li4 Mn4 P8 H8 O32'
_cell_length_a 5.222
_cell_length_b 8.741
_cell_length_c 14.384
_cell_angle_alpha 90.00
_cell_angle_beta 98.80
_cell_angle_gamma 90.00
_symmetry_space_group_name_H-M 'P 1 21/c 1'
_symmetry_Int_Tables_number 14
loop_
_symmetry_equiv_pos_as_xyz
'x,y,z'
'-x,-y,-z'
'-x,y+1/2,-z+1/2'
'x,-y+1/2,z+1/2'
loop_
_atom_site_label
_atom_site_type_symbol
_atom_site_fract_x
_atom_site_fract_y
_atom_site_fract_z
_atom_site_occupancy
Li1 Li 0.125 0.005 0.331 1
Mn1 Mn 0.233 0.536 0.351 1
P1 P 0.234 0.662 0.556 1
P2 P 0.280 0.236 0.692 1
H1 H 0.213 0.222 0.036 1
H2 H 0.356 0.687 0.171 1
O1 O 0.048 0.127 0.933 1
O2 O 0.104 0.131 0.216 1
O3 O 0.191 0.086 0.735 1
O4 O 0.234 0.194 0.584 1
O5 O 0.262 0.683 0.451 1
O6 O 0.309 0.674 0.099 1
O7 O 0.419 0.540 0.605 1
O8 O 0.434 0.728 0.275 1
```

Peak list (12 most intense, 10 to 90 degrees two-theta, by intensity)
| 2θ (°) | I_rel | h k l |
| --- | --- | --- |
| 11.89 | 100 | 0 1 1 |
| 28.42 | 35 | 1 2 -2 |
| 27.09 | 20 | 0 1 4 |
| 21.73 | 18 | 1 1 1 |
| 25.00 | 14 | 1 1 2 |
| 20.14 | 14 | 1 1 -1 |
| 34.77 | 14 | 2 0 0 |
| 22.15 | 14 | 1 1 -2 |
| 26.85 | 8 | 1 2 -1 |
| 28.08 | 8 | 1 2 1 |
| 36.19 | 7 | 0 3 3 |
| 21.33 | 7 | 0 1 3 |

=====

Record 6
Structure and simulated powder X-ray diffraction pattern of LiV2F5 (a structure optimized by DFT (GGA+U); Cu Kα (weighted mean of Kα1 and Kα2)).

Structural model:
```
data_LiV2F5
_chemical_formula_sum 'Li4 V8 F20'
_cell_length_a 4.190
_cell_length_b 10.224
_cell_length_c 10.407
_cell_angle_alpha 90.00
_cell_angle_beta 90.00
_cell_angle_gamma 90.00
_symmetry_space_group_name_H-M 'C m c m'
_symmetry_Int_Tables_number 63
_symmetry_space_group_name_Hall '-C 2c 2'
loop_
_atom_site_label
_atom_site_type_symbol
_atom_site_fract_x
_atom_site_fract_y
_atom_site_fract_z
_atom_site_occupancy
Li1 Li 0.000 0.181 0.250 1
V1 V 0.000 0.143 0.564 1
F1 F 0.000 0.054 0.118 1
F2 F 0.000 0.234 0.750 1
F3 F 0.000 0.322 0.056 1
```

Peak list (12 most intense, 10 to 90 degrees two-theta, by intensity)
| 2θ (°) | I_rel | h k l |
| --- | --- | --- |
| 22.94 | 100 | 1 1 0 |
| 17.04 | 84 | 0 0 2 |
| 31.16 | 56 | 0 2 3 |
| 43.18 | 45 | 2 0 0 |
| 47.14 | 28 | 0 2 5 |
| 56.69 | 26 | 1 5 3 |
| 39.27 | 22 | 0 4 2 |
| 44.00 | 21 | 0 4 3 |
| 17.35 | 21 | 0 2 0 |
| 19.35 | 20 | 0 2 1 |
| 54.20 | 20 | 2 2 3 |
| 65.84 | 17 | 2 2 5 |

=====

Record 7
Structure and simulated powder X-ray diffraction pattern of Li9Mn2Co5O16 (a structure optimized by DFT (GGA+U); Cu Kα (weighted mean of Kα1 and Kα2)).

Structural model:
```
data_Li9Mn2Co5O16
_chemical_formula_sum 'Li9 Mn2 Co5 O16'
_cell_length_a 2.964
_cell_length_b 9.869
_cell_length_c 10.375
_cell_angle_alpha 73.09
_cell_angle_beta 82.70
_cell_angle_gamma 87.72
_symmetry_space_group_name_H-M 'P 1'
_symmetry_Int_Tables_number 1
loop_
_symmetry_equiv_pos_as_xyz
'x,y,z'
loop_
_atom_site_label
_atom_site_type_symbol
_atom_site_fract_x
_atom_site_fract_y
_atom_site_fract_z
_atom_site_occupancy
Li1 Li 0.000 0.000 0.000 1
Li2 Li 0.033 0.293 0.881 1
Li3 Li 0.181 0.930 0.622 1
Li4 Li 0.303 0.555 0.372 1
Li5 Li 0.427 0.172 0.117 1
Li6 Li 0.541 0.804 0.881 1
Li7 Li 0.685 0.435 0.621 1
Li8 Li 0.803 0.053 0.373 1
Li9 Li 0.931 0.681 0.129 1
Mn1 Mn 0.486 0.493 0.002 1
Mn2 Mn 0.604 0.113 0.756 1
Co1 Co 0.114 0.620 0.748 1
Co2 Co 0.230 0.238 0.499 1
Co3 Co 0.369 0.871 0.239 1
Co4 Co 0.743 0.739 0.494 1
Co5 Co 0.861 0.363 0.253 1
O1 O 0.059 0.646 0.936 1
O2 O 0.099 0.979 0.804 1
O3 O 0.121 0.252 0.684 1
O4 O 0.209 0.593 0.562 1
O5 O 0.275 0.886 0.426 1
O6 O 0.339 0.217 0.320 1
O7 O 0.384 0.512 0.187 1
O8 O 0.445 0.835 0.084 1
O9 O 0.531 0.149 0.920 1
O10 O 0.572 0.474 0.814 1
O11 O 0.665 0.765 0.681 1
O12 O 0.667 0.095 0.566 1
O13 O 0.796 0.720 0.314 1
O14 O 0.798 0.387 0.436 1
O15 O 0.914 0.339 0.070 1
O16 O 0.923 0.010 0.194 1
```

Peak list (12 most intense, 10 to 90 degrees two-theta, by intensity)
| 2θ (°) | I_rel | h k l |
| --- | --- | --- |
| 18.35 | 100 | 0 2 1 |
| 41.99 | 32 | 1 3 0 |
| 44.17 | 27 | 1 -3 1 |
| 44.42 | 26 | 0 2 5 |
| 36.43 | 24 | 1 -1 2 |
| 62.77 | 23 | 2 0 1 |
| 34.93 | 18 | 1 1 -1 |
| 62.38 | 8 | 0 6 -1 |
| 63.91 | 7 | -1 5 4 |
| 64.95 | 7 | 1 -1 6 |
| 47.25 | 5 | 0 4 -2 |
| 58.48 | 5 | 0 4 6 |

=====

Copy entry 1 word for word.
Structure and simulated powder X-ray diffraction pattern of MgV4O6F6 (a structure optimized by DFT (GGA+U); Cu Kα (weighted mean of Kα1 and Kα2)).

Structural model:
```
data_MgV4O6F6
_chemical_formula_sum 'Mg1 V4 O6 F6'
_cell_length_a 5.057
_cell_length_b 5.257
_cell_length_c 9.422
_cell_angle_alpha 75.79
_cell_angle_beta 74.79
_cell_angle_gamma 62.16
_symmetry_space_group_name_H-M 'P 1'
_symmetry_Int_Tables_number 1
loop_
_symmetry_equiv_pos_as_xyz
'x,y,z'
loop_
_atom_site_label
_atom_site_type_symbol
_atom_site_fract_x
_atom_site_fract_y
_atom_site_fract_z
_atom_site_occupancy
Mg1 Mg 0.000 0.000 0.000 1
V1 V 0.068 0.163 0.553 1
V2 V 0.365 0.434 0.804 1
V3 V 0.654 0.632 0.049 1
V4 V 0.816 0.892 0.328 1
O1 O 0.016 0.390 0.933 1
O2 O 0.387 0.656 0.935 1
O3 O 0.483 0.942 0.436 1
O4 O 0.704 0.380 0.682 1
O5 O 0.822 0.710 0.167 1
O6 O 0.911 0.103 0.434 1
F1 F 0.080 0.527 0.432 1
F2 F 0.106 0.798 0.694 1
F3 F 0.225 0.879 0.175 1
F4 F 0.302 0.193 0.682 1
F5 F 0.639 0.032 0.927 1
F6 F 0.667 0.256 0.170 1
```

Peak list (12 most intense, 10 to 90 degrees two-theta, by intensity)
| 2θ (°) | I_rel | h k l |
| --- | --- | --- |
| 24.28 | 100 | 1 1 2 |
| 22.95 | 98 | 0 1 -1 |
| 23.98 | 90 | 1 0 -1 |
| 33.14 | 37 | 1 1 -2 |
| 46.89 | 29 | 0 2 -2 |
| 33.23 | 24 | 0 1 3 |
| 49.09 | 20 | 2 0 -2 |
| 49.74 | 20 | 2 2 4 |
| 39.34 | 16 | 1 2 -1 |
| 54.73 | 16 | 2 1 5 |
| 33.69 | 15 | 1 -1 0 |
| 54.37 | 15 | 1 2 5 |

=====

- Which formula does entry 5 have?
  LiMnP2H2O8